# 1
Structure and calculated powder X-ray diffraction pattern of Ac3Ge4Pd4 (a DFT-relaxed cell (PBE, OQMD); Cu Kα X-rays).

Atomic structure:
Lattice parameters (Å, degrees): 13.150 13.150 13.150 160.69 160.28 27.73
Fractional positions:
Ac  0.000  0.000  0.000
Ac  0.351  0.851  0.500
Ac  0.649  0.149  0.500
Ge  0.199  0.699  0.500
Ge  0.450  0.450  0.000
Ge  0.550  0.550  0.000
Ge  0.801  0.301  0.500
Pd  0.098  0.598  0.500
Pd  0.249  0.249  0.000
Pd  0.751  0.751  0.000
Pd  0.902  0.402  0.500

Most intense lines, 2θ from 15° to 90°, low angle first:
2θ (°)	I (rel.)
31.7	100.0
31.8	44.9
37.5	22.1
40.0	27.3
40.9	25.7
43.9	16.9
52.0	22.9
58.6	17.9

# 2
Structure and calculated powder X-ray diffraction pattern of AcGe12Pt4 (a DFT-relaxed cell (PBE, OQMD); Cu Kα X-rays).

Atomic structure:
Lattice parameters (Å, degrees): 7.582 7.582 7.582 109.47 109.47 109.47
Fractional positions:
Ac  0.000  0.000  0.000
Ge  0.152  0.356  0.508
Ge  0.152  0.644  0.795
Ge  0.205  0.848  0.356
Ge  0.356  0.205  0.848
Ge  0.356  0.508  0.152
Ge  0.492  0.848  0.644
Ge  0.508  0.152  0.356
Ge  0.644  0.492  0.848
Ge  0.644  0.795  0.152
Ge  0.795  0.152  0.644
Ge  0.848  0.356  0.205
Ge  0.848  0.644  0.492
Pt  0.000  0.000  0.500
Pt  0.000  0.500  0.000
Pt  0.500  0.000  0.000
Pt  0.500  0.500  0.500

Most intense lines, 2θ from 15° to 90°, low angle first:
2θ (°)	I (rel.)
20.3	28.5
28.8	100.0
32.3	78.0
38.5	44.1
46.4	51.8
51.1	79.3
53.4	37.0
67.7	29.5

# 3
Structure and calculated powder X-ray diffraction pattern of Ac4HIr2 (a DFT-relaxed cell (PBE, OQMD); Cu Kα X-rays).

Atomic structure:
Lattice parameters (Å, degrees): 13.753 13.753 13.753 18.21 18.21 18.21
Fractional positions:
Ac  0.119  0.119  0.119
Ac  0.293  0.293  0.293
Ac  0.707  0.707  0.707
Ac  0.881  0.881  0.881
H  0.000  0.000  0.000
Ir  0.414  0.414  0.414
Ir  0.586  0.586  0.586

Most intense lines, 2θ from 15° to 90°, low angle first:
2θ (°)	I (rel.)
25.2	29.1
26.1	28.0
28.2	100.0
32.4	52.4
41.5	65.5
45.0	51.1
51.0	20.2
78.1	20.9

# 4
Structure and calculated powder X-ray diffraction pattern of AcH6Os (a DFT-relaxed cell (PBE, OQMD); Cu Kα X-rays).

Atomic structure:
Lattice parameters (Å, degrees): 4.748 4.748 4.748 61.86 61.86 61.86
Fractional positions:
Ac  0.000  0.000  0.000
H  0.072  0.605  0.605
H  0.395  0.395  0.928
H  0.395  0.928  0.395
H  0.605  0.072  0.605
H  0.605  0.605  0.072
H  0.928  0.395  0.395
Os  0.500  0.500  0.500

Most intense lines, 2θ from 15° to 90°, low angle first:
2θ (°)	I (rel.)
26.2	100.0
36.8	41.5
37.9	39.3
45.8	23.4
53.9	14.1
60.1	20.8
61.6	19.4
67.1	15.1

# 5
Structure and calculated powder X-ray diffraction pattern of AcHf2Sb (a DFT-relaxed cell (PBE, OQMD); Cu Kα X-rays).

Atomic structure:
Lattice parameters (Å, degrees): 4.949 4.949 6.571 90.00 90.00 120.00
Fractional positions:
Ac  0.000  0.000  0.000
Hf  0.000  0.000  0.517
Hf  0.333  0.667  0.705
Sb  0.667  0.333  0.591

Most intense lines, 2θ from 15° to 90°, low angle first:
2θ (°)	I (rel.)
20.7	48.3
24.8	34.5
34.4	100.0
36.3	90.7
45.9	28.2
50.9	33.6
60.4	24.2
64.1	33.9

# 6
Structure and calculated powder X-ray diffraction pattern of AcHf2Sn (a DFT-relaxed cell (PBE, OQMD); Cu Kα X-rays).

Atomic structure:
Lattice parameters (Å, degrees): 3.350 3.350 11.654 90.00 90.00 120.00
Fractional positions:
Ac  0.000  0.000  0.000
Hf  0.333  0.667  0.250
Hf  0.333  0.667  0.750
Sn  0.333  0.667  0.500

Most intense lines, 2θ from 15° to 90°, low angle first:
2θ (°)	I (rel.)
30.7	71.9
30.8	74.7
31.8	74.0
34.5	100.0
38.7	43.4
44.0	56.9
54.8	43.3
64.1	63.8

# 7
Structure and calculated powder X-ray diffraction pattern of AcHgNO (a DFT-relaxed cell (PBE, OQMD); Cu Kα X-rays).

Atomic structure:
Lattice parameters (Å, degrees): 5.983 8.752 6.066 90.00 90.00 90.00
Fractional positions:
Ac  0.018  0.144  0.000
Ac  0.482  0.144  0.500
Ac  0.518  0.856  0.000
Ac  0.982  0.856  0.500
Hg  0.001  0.471  0.399
Hg  0.499  0.471  0.899
Hg  0.501  0.529  0.399
Hg  0.999  0.529  0.899
N  0.066  0.339  0.678
N  0.434  0.339  0.178
N  0.566  0.661  0.678
N  0.934  0.661  0.178
O  0.249  0.990  0.764
O  0.251  0.990  0.264
O  0.749  0.010  0.764
O  0.751  0.010  0.264

Most intense lines, 2θ from 15° to 90°, low angle first:
2θ (°)	I (rel.)
23.2	44.6
29.3	100.0
29.4	31.6
29.9	51.7
30.6	34.1
42.4	28.0
43.3	32.6
56.9	26.2

# 8
Structure and calculated powder X-ray diffraction pattern of AcHg2O4 (a DFT-relaxed cell (PBE, OQMD); Cu Kα X-rays).

Atomic structure:
Lattice parameters (Å, degrees): 7.013 7.013 7.013 60.00 60.00 60.00
Fractional positions:
Ac  0.125  0.125  0.125
Ac  0.875  0.875  0.875
Hg  0.000  0.500  0.500
Hg  0.500  0.000  0.500
Hg  0.500  0.500  0.000
Hg  0.500  0.500  0.500
O  0.262  0.262  0.262
O  0.262  0.262  0.715
O  0.262  0.715  0.262
O  0.285  0.738  0.738
O  0.715  0.262  0.262
O  0.738  0.285  0.738
O  0.738  0.738  0.285
O  0.738  0.738  0.738

Most intense lines, 2θ from 15° to 90°, low angle first:
2θ (°)	I (rel.)
25.4	29.4
29.9	100.0
31.2	26.6
47.6	39.9
52.2	39.5
61.3	13.7
73.3	23.9
84.6	13.7